# 1
Structure and simulated powder XRD pattern of RbMg6GaO8 (a crystal structure in the Materials Project, relaxed with GGA-PBE; Cu Kα (λ = 1.5418 Å)).

Top 12 peaks for 10 to 90 degrees two-theta, by intensity:
- 2θ 38.78, intensity 100
- 2θ 58.94, intensity 48
- 2θ 34.53, intensity 48
- 2θ 19.11, intensity 36
- 2θ 42.58, intensity 35
- 2θ 72.80, intensity 32
- 2θ 56.01, intensity 30
- 2θ 28.48, intensity 30
- 2θ 67.48, intensity 17
- 2θ 20.92, intensity 16
- 2θ 27.16, intensity 15
- 2θ 48.81, intensity 13

Structure:
```
RbMg6GaO8
1.0
4.644 0.000 0.000
0.000 4.644 0.000
0.000 0.000 8.493
Rb Mg Ga O
1 6 1 8
direct
0.000 0.000 0.000
0.000 0.500 0.247
0.000 0.500 0.753
0.500 0.000 0.247
0.500 0.000 0.753
0.500 0.500 0.000
0.500 0.500 0.500
0.000 0.000 0.500
0.000 0.000 0.289
0.000 0.000 0.711
0.000 0.500 0.000
0.000 0.500 0.500
0.500 0.000 0.000
0.500 0.000 0.500
0.500 0.500 0.253
0.500 0.500 0.747
```



# 2
Structure and simulated powder XRD pattern of V (a crystal structure in the Materials Project, relaxed with GGA-PBE; Cu Kα (λ = 1.5418 Å)).

Top 5 peaks for 10 to 90 degrees two-theta, by intensity:
- 2θ 40.93, intensity 100
- 2θ 47.62, intensity 46
- 2θ 84.06, intensity 30
- 2θ 69.63, intensity 26
- 2θ 88.74, intensity 9

Structure:
```
V
1.0
0.000 1.910 1.910
1.910 0.000 1.910
1.910 1.910 0.000
V
1
direct
0.000 0.000 0.000
```